Entry 1:
Simulated X-ray diffraction stick pattern
Compound: Pm5Pd4O
Radiation: a wavelength of 1.5418 Å
Structure: a DFT-relaxed cell (PBE, Alexandria)

Principal peaks in the range 2θ = 10–80°, by intensity:
- 2.882 Å, 31.03°, I = 100
- 2.773 Å, 32.29°, I = 73
- 2.665 Å, 33.64°, I = 71
- 1.998 Å, 45.39°, I = 69
- 2.300 Å, 39.16°, I = 67
- 1.447 Å, 64.41°, I = 30
- 3.284 Å, 27.15°, I = 26
- 2.038 Å, 44.45°, I = 20
- 1.642 Å, 56.00°, I = 20
- 1.249 Å, 76.22°, I = 18

Structure:
a b c (Å): 7.0162 7.0162 7.0162
angles (deg): 98.98 98.98 133.44
Element x y z (fractional)
Pm 0.0000 0.0000 0.0000
Pm 0.2293 0.3543 0.6265
Pm 0.3543 0.7278 0.1250
Pm 0.6029 0.2293 0.8750
Pm 0.7278 0.6029 0.3735
Pd 0.0445 0.6333 0.7233
Pd 0.3212 0.0445 0.4112
Pd 0.6333 0.9100 0.5888
Pd 0.9100 0.3212 0.2767
O 0.4380 0.4380 0.0000

Entry 2:
Simulated X-ray diffraction stick pattern
Compound: Pm3PdO6
Radiation: a wavelength of 1.5418 Å
Structure: a DFT-relaxed cell (PBE, Alexandria)

Principal peaks in the range 2θ = 10–80°, by intensity:
- 2.925 Å, 30.56°, I = 100
- 3.106 Å, 28.74°, I = 85
- 2.829 Å, 31.62°, I = 26
- 2.035 Å, 44.51°, I = 25
- 2.236 Å, 40.34°, I = 20
- 1.777 Å, 51.41°, I = 17
- 1.715 Å, 53.44°, I = 13
- 1.622 Å, 56.77°, I = 13
- 1.552 Å, 59.56°, I = 10
- 1.690 Å, 54.27°, I = 9

Structure:
a b c (Å): 5.6792 5.8601 10.2071
angles (deg): 90.00 118.82 90.00
Element x y z (fractional)
Pm 0.0000 0.0000 0.0000
Pm 0.0000 0.5000 0.5000
Pm 0.2942 0.0562 0.7580
Pm 0.2942 0.4438 0.2580
Pm 0.7058 0.5562 0.7420
Pm 0.7058 0.9438 0.2420
Pd 0.5000 0.0000 0.5000
Pd 0.5000 0.5000 0.0000
O 0.0900 0.0824 0.2446
O 0.0900 0.4176 0.7446
O 0.3131 0.7028 0.0874
O 0.3131 0.7972 0.5874
O 0.3836 0.2195 0.0758
O 0.3836 0.2805 0.5758
O 0.6164 0.7195 0.4242
O 0.6164 0.7805 0.9242
O 0.6869 0.2028 0.4126
O 0.6869 0.2972 0.9126
O 0.9100 0.5824 0.2554
O 0.9100 0.9176 0.7554

Entry 3:
Simulated X-ray diffraction stick pattern
Compound: Pm4Pd6O19
Radiation: a wavelength of 1.5418 Å
Structure: a DFT-relaxed cell (PBE, Alexandria)

Principal peaks in the range 2θ = 10–80°, by intensity:
- 2.825 Å, 31.67°, I = 100
- 3.647 Å, 24.41°, I = 84
- 2.387 Å, 37.68°, I = 58
- 2.106 Å, 42.96°, I = 45
- 1.752 Å, 52.21°, I = 40
- 1.489 Å, 62.37°, I = 37
- 1.823 Å, 50.02°, I = 27
- 1.631 Å, 56.42°, I = 20
- 2.579 Å, 34.79°, I = 19
- 1.317 Å, 71.65°, I = 18

Structure:
a b c (Å): 7.7361 7.7361 7.7361
angles (deg): 109.47 109.47 109.47
Element x y z (fractional)
Pm 0.0000 0.0000 0.6794
Pm 0.0000 0.6794 0.0000
Pm 0.3206 0.3206 0.3206
Pm 0.6794 0.0000 0.0000
Pd 0.1603 0.6603 0.5000
Pd 0.3397 0.5000 0.8397
Pd 0.5000 0.1603 0.6603
Pd 0.5000 0.8397 0.3397
Pd 0.6603 0.5000 0.1603
Pd 0.8397 0.3397 0.5000
O 0.0000 0.0000 0.0000
O 0.0000 0.3369 0.3369
O 0.0000 0.6631 0.6631
O 0.0355 0.3638 0.7618
O 0.2382 0.6019 0.2737
O 0.2737 0.2382 0.6019
O 0.3282 0.9645 0.7263
O 0.3369 0.0000 0.3369
O 0.3369 0.3369 0.0000
O 0.3638 0.7618 0.0355
O 0.3981 0.6362 0.6718
O 0.6019 0.2737 0.2382
O 0.6362 0.6718 0.3981
O 0.6631 0.0000 0.6631
O 0.6631 0.6631 0.0000
O 0.6718 0.3981 0.6362
O 0.7263 0.3282 0.9645
O 0.7618 0.0355 0.3638
O 0.9645 0.7263 0.3282

Copy entry 1 word for word.
Simulated X-ray diffraction stick pattern
Compound: Pm5Pd4O
Radiation: a wavelength of 1.5418 Å
Structure: a DFT-relaxed cell (PBE, Alexandria)

Principal peaks in the range 2θ = 10–80°, by intensity:
- 2.882 Å, 31.03°, I = 100
- 2.773 Å, 32.29°, I = 73
- 2.665 Å, 33.64°, I = 71
- 1.998 Å, 45.39°, I = 69
- 2.300 Å, 39.16°, I = 67
- 1.447 Å, 64.41°, I = 30
- 3.284 Å, 27.15°, I = 26
- 2.038 Å, 44.45°, I = 20
- 1.642 Å, 56.00°, I = 20
- 1.249 Å, 76.22°, I = 18

Structure:
a b c (Å): 7.0162 7.0162 7.0162
angles (deg): 98.98 98.98 133.44
Element x y z (fractional)
Pm 0.0000 0.0000 0.0000
Pm 0.2293 0.3543 0.6265
Pm 0.3543 0.7278 0.1250
Pm 0.6029 0.2293 0.8750
Pm 0.7278 0.6029 0.3735
Pd 0.0445 0.6333 0.7233
Pd 0.3212 0.0445 0.4112
Pd 0.6333 0.9100 0.5888
Pd 0.9100 0.3212 0.2767
O 0.4380 0.4380 0.0000